1.
The following is a computed powder diffraction line list of In10PdSe10. It was derived from the PBE geometry in OQMD, using a wavelength of 1.5418 Å.

Atomic structure:
Cell lengths 12.0588, 12.5676, 7.7618 Å; angles 90.00, 90.00, 90.00 degrees
Sites, in units of the cell vectors:
In: 0.0000 0.0000 0.2372
In: 0.0000 0.0000 0.7628
In: 0.1196 0.4117 0.2518
In: 0.1196 0.4117 0.7482
In: 0.1458 0.7216 0.0000
In: 0.1632 0.6461 0.5000
In: 0.3368 0.1461 0.5000
In: 0.3542 0.2216 0.0000
In: 0.3804 0.9117 0.2518
In: 0.3804 0.9117 0.7482
In: 0.5000 0.5000 0.2372
In: 0.5000 0.5000 0.7628
In: 0.6196 0.0883 0.2518
In: 0.6196 0.0883 0.7482
In: 0.6458 0.7784 0.0000
In: 0.6632 0.8539 0.5000
In: 0.8368 0.3539 0.5000
In: 0.8542 0.2784 0.0000
In: 0.8804 0.5883 0.2518
In: 0.8804 0.5883 0.7482
Pd: 0.0000 0.5000 0.5000
Pd: 0.5000 0.0000 0.5000
Se: 0.0722 0.2702 0.0000
Se: 0.1114 0.1151 0.5000
Se: 0.1704 0.8253 0.2858
Se: 0.1704 0.8253 0.7142
Se: 0.2260 0.5323 0.0000
Se: 0.2740 0.0323 0.0000
Se: 0.3296 0.3253 0.2858
Se: 0.3296 0.3253 0.7142
Se: 0.3886 0.6151 0.5000
Se: 0.4278 0.7702 0.0000
Se: 0.5722 0.2298 0.0000
Se: 0.6114 0.3849 0.5000
Se: 0.6704 0.6747 0.2858
Se: 0.6704 0.6747 0.7142
Se: 0.7260 0.9677 0.0000
Se: 0.7740 0.4677 0.0000
Se: 0.8296 0.1747 0.2858
Se: 0.8296 0.1747 0.7142
Se: 0.8886 0.8849 0.5000
Se: 0.9278 0.7298 0.0000

Principal peaks in the range 2θ from 5° to 70°, low angle first:
hkl	d [Å]	2θ/deg	I (rel.)
2 2 1	3.795	23.44	21
2 3 0	3.439	25.91	33
1 2 2	3.185	28.02	100
4 1 0	2.932	30.49	29
0 4 1	2.912	30.70	25
4 2 0	2.720	32.92	20
3 3 2	2.323	38.77	38
1 5 2	2.078	43.55	41
5 1 2	2.022	44.83	38
0 0 4	1.940	46.82	30

=====

2.
The following is a computed powder diffraction line list of Cu2Ag3. It was derived from the PBE geometry in OQMD, using a wavelength of 1.5418 Å.

Atomic structure:
Cell lengths 4.7988, 2.8546, 11.4441 Å; angles 90.00, 95.22, 90.00 degrees
Sites, in units of the cell vectors:
Cu: 0.1012 0.0000 0.2917
Cu: 0.2069 0.5000 0.1110
Cu: 0.7931 0.5000 0.8890
Cu: 0.8988 0.0000 0.7083
Ag: 0.0000 0.5000 0.5000
Ag: 0.2756 0.0000 0.9126
Ag: 0.3994 0.5000 0.7075
Ag: 0.5000 0.0000 0.5000
Ag: 0.6006 0.5000 0.2925
Ag: 0.7244 0.0000 0.0874

Principal peaks in the range 2θ from 5° to 70°, low angle first:
hkl	d [Å]	2θ/deg	I (rel.)
1 0 -4	2.552	35.17	7
2 0 1	2.297	39.22	51
1 1 -2	2.290	39.34	100
0 0 5	2.279	39.54	47
1 1 3	2.017	44.94	68
2 0 -4	1.919	47.38	26
0 2 0	1.427	65.38	11
2 0 6	1.425	65.50	10
3 1 -1	1.394	67.14	18
1 1 -7	1.386	67.58	16

=====

3.
The following is a computed powder diffraction line list of MgSc2GaPt4. It was derived from the PBE geometry in OQMD, using a wavelength of 1.5418 Å.

Atomic structure:
Cell lengths 4.5605, 4.5605, 6.4342 Å; angles 90.00, 90.00, 90.00 degrees
Sites, in units of the cell vectors:
Mg: 0.0000 0.0000 0.0000
Sc: 0.0000 0.0000 0.5000
Sc: 0.5000 0.5000 0.0000
Ga: 0.5000 0.5000 0.5000
Pt: 0.0000 0.5000 0.2525
Pt: 0.0000 0.5000 0.7475
Pt: 0.5000 0.0000 0.2525
Pt: 0.5000 0.0000 0.7475

Principal peaks in the range 2θ from 5° to 70°, low angle first:
hkl	d [Å]	2θ/deg	I (rel.)
0 0 1	6.434	13.76	1
1 1 0	3.222	27.68	46
2 0 0	2.278	39.55	100
2 0 2	1.860	48.96	14
2 2 0	1.612	57.13	11
0 0 4	1.609	57.27	6
3 1 0	1.442	64.65	12
1 1 4	1.439	64.77	6

=====

Which formula does entry 3 have? MgSc2GaPt4